For Rb4LiSe4O14, a crystal structure in the Materials Project, relaxed with PBE gives the computed powder diffraction line list in this record (Cu Kα (weighted mean of Kα1 and Kα2)).
Peak positions follow from Bragg's law for the DFT cell and can differ from measured ones.

Structure:
Unit cell a=7.920 b=7.951 c=7.973 alpha=64.68 beta=88.49 gamma=88.67
Atoms (fractional coordinates):
Rb  0.000  0.000  0.000
Rb  0.179  0.294  0.431
Rb  0.475  0.695  0.971
Rb  0.659  0.042  0.361
Li  0.921  0.697  0.568
Se  0.228  0.805  0.457
Se  0.472  0.200  0.904
Se  0.680  0.422  0.515
Se  0.997  0.523  0.951
O  0.044  0.929  0.401
O  0.106  0.623  0.063
O  0.159  0.587  0.596
O  0.326  0.129  0.808
O  0.326  0.813  0.267
O  0.350  0.887  0.572
O  0.406  0.290  0.046
O  0.545  0.391  0.377
O  0.562  0.415  0.718
O  0.630  0.049  0.983
O  0.753  0.636  0.431
O  0.827  0.258  0.591
O  0.849  0.676  0.816
O  0.906  0.327  0.106

Most intense lines, 10 to 80 degrees two-theta, sorted by position:
2θ/deg  I_rel
22.44  51
24.72  100
24.88  39
25.38  70
25.48  74
25.88  100
27.12  30
28.54  26
34.26  40
42.78  23

---

For Rb4LiSe4O14, a crystal structure in the Materials Project, relaxed with PBE gives the computed powder diffraction line list in this record (Cu Kα (weighted mean of Kα1 and Kα2)).
Peak positions follow from Bragg's law for the DFT cell and can differ from measured ones.

Structure:
Unit cell a=7.782 b=8.070 c=8.158 alpha=82.50 beta=64.06 gamma=86.22
Atoms (fractional coordinates):
Rb  0.000  0.000  0.000
Rb  0.001  0.574  0.487
Rb  0.484  0.378  0.106
Rb  0.563  0.854  0.788
Li  0.848  0.305  0.301
Se  0.026  0.539  0.935
Se  0.033  0.065  0.482
Se  0.456  0.334  0.666
Se  0.461  0.879  0.304
O  0.079  0.244  0.342
O  0.096  0.630  0.072
O  0.256  0.988  0.485
O  0.273  0.430  0.629
O  0.366  0.742  0.234
O  0.368  0.182  0.840
O  0.570  0.803  0.429
O  0.575  0.027  0.137
O  0.575  0.471  0.715
O  0.600  0.253  0.472
O  0.878  0.377  0.063
O  0.899  0.678  0.857
O  0.903  0.093  0.698
O  0.951  0.925  0.405

Most intense lines, 10 to 80 degrees two-theta, sorted by position:
2θ/deg  I_rel
22.08  40
22.22  11
23.40  17
25.50  100
25.75  50
26.05  13
31.27  17
32.24  19
35.11  12
37.91  11

---

For Rb4LiSe4O14, a crystal structure in the Materials Project, relaxed with PBE gives the computed powder diffraction line list in this record (Cu Kα (weighted mean of Kα1 and Kα2)).
Peak positions follow from Bragg's law for the DFT cell and can differ from measured ones.

Structure:
Unit cell a=8.203 b=8.203 c=7.829 alpha=93.47 beta=93.47 gamma=61.18
Atoms (fractional coordinates):
Rb  0.131  0.554  0.145
Rb  0.153  0.153  0.410
Rb  0.446  0.869  0.855
Rb  0.847  0.847  0.590
Li  0.537  0.463  0.000
Se  0.391  0.405  0.633
Se  0.595  0.609  0.367
Se  0.756  0.041  0.106
Se  0.959  0.244  0.894
O  0.019  0.091  0.732
O  0.130  0.191  0.038
O  0.189  0.495  0.518
O  0.357  0.536  0.818
O  0.454  0.183  0.677
O  0.464  0.643  0.182
O  0.505  0.811  0.482
O  0.534  0.161  0.150
O  0.567  0.433  0.500
O  0.770  0.230  0.000
O  0.809  0.870  0.962
O  0.817  0.546  0.323
O  0.839  0.466  0.850
O  0.909  0.981  0.268

Most intense lines, 10 to 80 degrees two-theta, sorted by position:
2θ/deg  I_rel
21.28  23
24.17  51
25.18  20
25.29  100
26.91  77
27.71  31
33.28  18
34.78  22
35.87  16
43.67  14

---

For Rb4LiSe4O14, a crystal structure in the Materials Project, relaxed with PBE gives the computed powder diffraction line list in this record (Cu Kα (weighted mean of Kα1 and Kα2)).
Peak positions follow from Bragg's law for the DFT cell and can differ from measured ones.

Structure:
Unit cell a=7.833 b=7.996 c=8.399 alpha=115.74 beta=95.39 gamma=94.12
Atoms (fractional coordinates):
Rb  0.000  0.000  0.000
Rb  0.109  0.461  0.757
Rb  0.428  0.029  0.470
Rb  0.549  0.525  0.078
Li  0.751  0.288  0.272
Se  0.084  0.553  0.304
Se  0.455  0.987  0.922
Se  0.635  0.544  0.674
Se  0.925  0.952  0.482
O  0.034  0.758  0.498
O  0.056  0.051  0.396
O  0.186  0.445  0.404
O  0.199  0.631  0.190
O  0.336  0.144  0.902
O  0.348  0.860  0.004
O  0.469  0.427  0.712
O  0.503  0.849  0.716
O  0.640  0.100  0.058
O  0.729  0.377  0.511
O  0.738  0.854  0.356
O  0.784  0.639  0.858
O  0.896  0.433  0.188
O  0.915  0.081  0.695

Most intense lines, 10 to 80 degrees two-theta, sorted by position:
2θ/deg  I_rel
21.34  81
22.99  36
23.42  33
24.76  45
24.92  100
25.13  42
27.56  46
30.83  21
31.51  30
31.88  29

---

For Rb4LiSe4O14, a crystal structure in the Materials Project, relaxed with PBE gives the computed powder diffraction line list in this record (Cu Kα (weighted mean of Kα1 and Kα2)).
Peak positions follow from Bragg's law for the DFT cell and can differ from measured ones.

Structure:
Unit cell a=8.520 b=8.520 c=7.626 alpha=97.82 beta=97.82 gamma=57.78
Atoms (fractional coordinates):
Rb  0.150  0.150  0.424
Rb  0.342  0.332  0.069
Rb  0.668  0.658  0.931
Rb  0.850  0.850  0.576
Li  0.771  0.229  0.000
Se  0.153  0.028  0.885
Se  0.430  0.398  0.612
Se  0.602  0.570  0.388
Se  0.972  0.847  0.115
O  0.015  0.217  0.020
O  0.034  0.044  0.690
O  0.172  0.828  0.000
O  0.212  0.491  0.656
O  0.351  0.024  0.863
O  0.414  0.586  0.500
O  0.502  0.216  0.467
O  0.509  0.788  0.344
O  0.570  0.369  0.794
O  0.631  0.430  0.206
O  0.783  0.985  0.980
O  0.784  0.498  0.533
O  0.956  0.966  0.310
O  0.976  0.649  0.137

Most intense lines, 10 to 80 degrees two-theta, sorted by position:
2θ/deg  I_rel
21.59  100
24.15  34
24.82  64
25.54  57
28.25  34
32.68  69
33.13  52
40.36  20
45.49  17
47.93  19

---

For Rb4LiSe4O14, a crystal structure in the Materials Project, relaxed with PBE gives the computed powder diffraction line list in this record (Cu Kα (weighted mean of Kα1 and Kα2)).
Peak positions follow from Bragg's law for the DFT cell and can differ from measured ones.

Structure:
Unit cell a=7.916 b=8.018 c=8.120 alpha=91.64 beta=90.53 gamma=118.70
Atoms (fractional coordinates):
Rb  0.000  0.000  0.000
Rb  0.052  0.748  0.439
Rb  0.445  0.446  0.228
Rb  0.507  0.840  0.714
Li  0.139  0.349  0.751
Se  0.519  0.967  0.207
Se  0.527  0.354  0.702
Se  0.926  0.522  0.930
Se  0.958  0.188  0.469
O  0.034  0.695  0.802
O  0.046  0.404  0.960
O  0.063  0.102  0.337
O  0.121  0.419  0.520
O  0.347  0.010  0.134
O  0.400  0.409  0.835
O  0.408  0.136  0.625
O  0.438  0.809  0.357
O  0.606  0.883  0.059
O  0.639  0.526  0.572
O  0.696  0.182  0.286
O  0.710  0.330  0.825
O  0.850  0.587  0.096
O  0.931  0.081  0.655

Most intense lines, 10 to 80 degrees two-theta, sorted by position:
2θ/deg  I_rel
22.19  25
24.51  11
25.11  79
25.70  100
27.27  23
28.17  14
28.39  11
36.45  13
39.68  10
45.65  11

---

For Rb4LiSe4O14, a crystal structure in the Materials Project, relaxed with PBE gives the computed powder diffraction line list in this record (Cu Kα (weighted mean of Kα1 and Kα2)).
Peak positions follow from Bragg's law for the DFT cell and can differ from measured ones.

Structure:
Unit cell a=7.773 b=8.056 c=8.227 alpha=117.83 beta=92.81 gamma=90.08
Atoms (fractional coordinates):
Rb  0.137  0.016  0.235
Rb  0.348  0.307  0.812
Rb  0.652  0.693  0.188
Rb  0.863  0.984  0.765
Li  0.500  0.500  0.500
Se  0.136  0.576  0.285
Se  0.347  0.809  0.720
Se  0.653  0.191  0.280
Se  0.864  0.424  0.715
O  0.002  0.251  0.620
O  0.046  0.365  0.161
O  0.237  0.978  0.885
O  0.248  0.563  0.472
O  0.279  0.630  0.173
O  0.452  0.662  0.779
O  0.485  0.901  0.633
O  0.515  0.099  0.367
O  0.548  0.338  0.221
O  0.721  0.370  0.827
O  0.752  0.437  0.528
O  0.763  0.022  0.115
O  0.954  0.635  0.839
O  0.998  0.749  0.380

Most intense lines, 10 to 80 degrees two-theta, sorted by position:
2θ/deg  I_rel
22.07  41
24.51  96
24.91  88
25.41  82
26.65  100
27.78  28
32.78  21
35.14  47
42.95  28
45.24  18

---

For RbLi7Si2O8, a crystal structure in the Materials Project, relaxed with PBE gives the computed powder diffraction line list in this record (Cu Kα (weighted mean of Kα1 and Kα2)).
Peak positions follow from Bragg's law for the DFT cell and can differ from measured ones.

Structure:
Unit cell a=8.506 b=8.506 c=7.829 alpha=90.48 beta=90.48 gamma=44.27
Atoms (fractional coordinates):
Rb  0.245  0.245  0.470
Rb  0.755  0.755  0.530
Li  0.000  0.000  0.000
Li  0.068  0.068  0.287
Li  0.073  0.557  0.870
Li  0.187  0.679  0.369
Li  0.321  0.813  0.631
Li  0.358  0.358  0.135
Li  0.443  0.927  0.130
Li  0.500  0.500  0.000
Li  0.557  0.073  0.870
Li  0.642  0.642  0.865
Li  0.679  0.187  0.369
Li  0.813  0.321  0.631
Li  0.927  0.443  0.130
Li  0.932  0.932  0.713
Si  0.147  0.147  0.860
Si  0.429  0.429  0.707
Si  0.571  0.571  0.293
Si  0.853  0.853  0.140
O  0.021  0.586  0.194
O  0.052  0.052  0.764
O  0.128  0.128  0.068
O  0.185  0.619  0.606
O  0.381  0.815  0.394
O  0.384  0.384  0.898
O  0.414  0.979  0.806
O  0.467  0.467  0.250
O  0.533  0.533  0.750
O  0.586  0.021  0.194
O  0.616  0.616  0.102
O  0.619  0.185  0.606
O  0.815  0.381  0.394
O  0.872  0.872  0.932
O  0.948  0.948  0.236
O  0.979  0.414  0.806

Most intense lines, 10 to 80 degrees two-theta, sorted by position:
2θ/deg  I_rel
11.26  90
24.62  28
25.30  78
25.41  73
27.32  28
27.84  51
32.25  73
36.17  100
37.94  85
38.07  79

---

For Rb2Li4UO6, a crystal structure in the Materials Project, relaxed with PBE gives the computed powder diffraction line list in this record (Cu Kα (weighted mean of Kα1 and Kα2)).
Peak positions follow from Bragg's law for the DFT cell and can differ from measured ones.

Structure:
Unit cell a=6.160 b=6.160 c=5.762 alpha=90.00 beta=90.00 gamma=120.00
Atoms (fractional coordinates):
Rb  0.333  0.667  0.449
Rb  0.667  0.333  0.551
Li  0.000  0.000  0.500
Li  0.000  0.500  0.000
Li  0.500  0.000  0.000
Li  0.500  0.500  0.000
U  0.000  0.000  0.000
O  0.163  0.326  0.799
O  0.163  0.837  0.799
O  0.326  0.163  0.201
O  0.674  0.837  0.799
O  0.837  0.163  0.201
O  0.837  0.674  0.201

Most intense lines, 10 to 80 degrees two-theta, sorted by position:
2θ/deg  I_rel
16.62  28
22.72  100
28.99  40
35.41  11
37.14  34
42.99  31
47.79  28
61.26  11
65.09  11
67.33  13

---

For Li5ReO6, a crystal structure in the Materials Project, relaxed with PBE gives the computed powder diffraction line list in this record (Cu Kα (weighted mean of Kα1 and Kα2)).
Peak positions follow from Bragg's law for the DFT cell and can differ from measured ones.

Structure:
Unit cell a=5.099 b=5.099 c=5.084 alpha=99.95 beta=99.95 gamma=119.75
Atoms (fractional coordinates):
Li  0.000  0.000  0.000
Li  0.166  0.834  0.500
Li  0.324  0.676  0.000
Li  0.676  0.324  0.000
Li  0.834  0.166  0.500
Re  0.500  0.500  0.500
O  0.117  0.423  0.266
O  0.272  0.272  0.726
O  0.423  0.117  0.266
O  0.577  0.883  0.734
O  0.728  0.728  0.274
O  0.883  0.577  0.734

Most intense lines, 10 to 80 degrees two-theta, sorted by position:
2θ/deg  I_rel
18.59  69
20.13  56
21.05  100
23.54  75
27.54  49
32.29  30
35.80  23
37.26  19
43.27  19
43.68  38